Record 1
Structure and theoretical XRD peak list of Cs2SnH (a GGA-PBE-relaxed structure; copper Kα).
Intensities are scaled so that the largest is 1000.

Structural model:
abc: 11.4435 11.4435 11.4435
angles: 20.32 20.32 20.32
Fractional coordinates of all 4 atoms:
Cs1 0.1106 0.1106 0.1106
Cs2 0.8894 0.8894 0.8894
Sn1 0.0000 0.0000 0.0000
H1 0.5000 0.5000 0.5000

Principal peaks in the range 2θ from 10° to 90°, low angle first:
| 2θ/deg | I_rel |
| --- | --- |
| 23.8 | 563 |
| 25.6 | 1000 |
| 26.0 | 271 |
| 31.7 | 145 |
| 33.3 | 501 |
| 37.1 | 396 |
| 44.9 | 315 |
| 51.5 | 418 |
| 52.4 | 141 |
| 68.4 | 182 |

=====

Record 2
Structure and theoretical XRD peak list of CsTcSnH6 (a GGA-PBE-relaxed structure; copper Kα).
Intensities are scaled so that the largest is 1000.

Structural model:
abc: 4.7416 4.7453 6.9107
angles: 90.02 90.03 119.80
Fractional coordinates of all 9 atoms:
Cs1 0.0000 0.0000 0.0000
Tc1 0.3296 0.6745 0.5000
Sn1 0.6638 0.3393 0.5000
H1 0.1736 0.8253 0.3372
H2 0.1754 0.3772 0.6699
H3 0.1795 0.3761 0.3306
H4 0.1804 0.8319 0.6629
H5 0.6288 0.8306 0.3315
H6 0.6301 0.8262 0.6678

Principal peaks in the range 2θ from 10° to 90°, low angle first:
| 2θ/deg | I_rel |
| --- | --- |
| 12.8 | 134 |
| 25.2 | 1000 |
| 25.8 | 325 |
| 37.8 | 120 |
| 37.9 | 238 |
| 45.1 | 209 |
| 46.0 | 133 |
| 46.3 | 137 |
| 46.4 | 272 |
| 61.1 | 69 |

=====

Record 3
Structure and theoretical XRD peak list of Cs3TcH6 (a GGA-PBE-relaxed structure; copper Kα).
Intensities are scaled so that the largest is 1000.

Structural model:
abc: 6.5594 6.5594 6.5814
angles: 119.78 119.78 60.14
Fractional coordinates of all 10 atoms:
Cs1 0.0000 0.0000 0.0000
Cs2 0.2499 0.2499 0.7501
Cs3 0.7501 0.7501 0.2499
Tc1 0.5000 0.5000 0.5000
H1 0.3049 0.6900 0.3047
H2 0.3071 0.3071 0.3052
H3 0.3100 0.6951 0.6953
H4 0.6900 0.3049 0.3047
H5 0.6929 0.6929 0.6948
H6 0.6951 0.3100 0.6953

Principal peaks in the range 2θ from 10° to 90°, low angle first:
| 2θ/deg | I_rel |
| --- | --- |
| 27.1 | 1000 |
| 27.2 | 495 |
| 38.7 | 293 |
| 47.8 | 154 |
| 47.9 | 304 |
| 48.0 | 151 |
| 55.8 | 99 |
| 63.2 | 135 |
| 63.3 | 90 |
| 76.4 | 78 |